[1]
For CaRe4Se8, a DFT-relaxed cell (PBE, Alexandria) gives the calculated powder diffraction line list in this record (Cu Kα X-rays).

Principal peaks in the range 2θ from 10° to 90°, low angle first:
2θ = 12.98°, 6.823 Å, I = 100.0
2θ = 28.59°, 3.122 Å, I = 27.8
2θ = 33.34°, 2.688 Å, I = 87.2
2θ = 42.11°, 2.146 Å, I = 25.1
2θ = 45.60°, 1.989 Å, I = 21.2
2θ = 45.70°, 1.985 Å, I = 10.5
2θ = 49.94°, 1.826 Å, I = 9.7
2θ = 50.05°, 1.822 Å, I = 19.2
2θ = 51.87°, 1.763 Å, I = 12.4
2θ = 57.45°, 1.604 Å, I = 9.2
2θ = 61.38°, 1.510 Å, I = 9.9
2θ = 70.01°, 1.344 Å, I = 8.8

Cell and atoms:
a = 7.2896 Å, b = 7.2896 Å, c = 8.0086 Å
α = 116.95°, β = 116.95°, γ = 60.14°
Fractional coordinates of all 13 atoms:
Ca  0.0000  0.0000  0.0000
Re  0.0000  0.0000  0.5000
Re  0.0000  0.5000  0.5000
Re  0.5000  0.0000  0.5000
Re  0.5000  0.5000  0.5000
Se  0.2376  0.2376  0.7127
Se  0.2428  0.7350  0.7127
Se  0.2650  0.2650  0.2873
Se  0.2650  0.7572  0.2873
Se  0.7350  0.2428  0.7127
Se  0.7350  0.7350  0.7127
Se  0.7572  0.2650  0.2873
Se  0.7624  0.7624  0.2873



[2]
For HoTm2Pt, a DFT-relaxed cell (PBE, Alexandria) gives the calculated powder diffraction line list in this record (Cu Kα X-rays).

Principal peaks in the range 2θ from 10° to 90°, low angle first:
2θ = 14.69°, 6.030 Å, I = 19.1
2θ = 31.21°, 2.866 Å, I = 20.3
2θ = 31.60°, 2.831 Å, I = 68.7
2θ = 32.66°, 2.742 Å, I = 85.5
2θ = 34.09°, 2.630 Å, I = 100.0
2θ = 35.57°, 2.524 Å, I = 39.8
2θ = 38.56°, 2.335 Å, I = 54.1
2θ = 48.51°, 1.877 Å, I = 25.9
2θ = 59.00°, 1.566 Å, I = 18.2
2θ = 59.71°, 1.549 Å, I = 19.9
2θ = 60.43°, 1.532 Å, I = 29.5
2θ = 61.57°, 1.506 Å, I = 18.9

Cell and atoms:
a = 3.7534 Å, b = 12.0590 Å, c = 9.2337 Å
α = 90.00°, β = 90.00°, γ = 90.00°
Fractional coordinates of all 16 atoms:
Ho  0.0000  0.0678  0.2500
Ho  0.0000  0.9322  0.7500
Ho  0.5000  0.4322  0.7500
Ho  0.5000  0.5678  0.2500
Tm  0.0000  0.3633  0.0632
Tm  0.0000  0.3633  0.4368
Tm  0.0000  0.6367  0.5632
Tm  0.0000  0.6367  0.9368
Tm  0.5000  0.1367  0.5632
Tm  0.5000  0.1367  0.9368
Tm  0.5000  0.8633  0.0632
Tm  0.5000  0.8633  0.4368
Pt  0.0000  0.2424  0.7500
Pt  0.0000  0.7576  0.2500
Pt  0.5000  0.2576  0.2500
Pt  0.5000  0.7424  0.7500



[3]
For Ti4InSn3, a DFT-relaxed cell (PBE, Alexandria) gives the calculated powder diffraction line list in this record (Cu Kα X-rays).

Principal peaks in the range 2θ from 10° to 90°, low angle first:
2θ = 21.67°, 4.100 Å, I = 8.2
2θ = 23.74°, 3.747 Å, I = 12.7
2θ = 29.13°, 3.066 Å, I = 8.2
2θ = 36.60°, 2.456 Å, I = 100.0
2θ = 39.02°, 2.308 Å, I = 20.0
2θ = 44.18°, 2.050 Å, I = 27.8
2θ = 50.76°, 1.799 Å, I = 3.7
2θ = 60.39°, 1.533 Å, I = 21.6
2θ = 64.25°, 1.450 Å, I = 8.9
2θ = 69.11°, 1.359 Å, I = 14.5
2θ = 76.28°, 1.248 Å, I = 22.4
2θ = 77.80°, 1.228 Å, I = 10.4

Cell and atoms:
a = 9.2331 Å, b = 5.7990 Å, c = 5.7982 Å
α = 90.00°, β = 90.00°, γ = 90.00°
Fractional coordinates of all 16 atoms:
Ti  0.0000  0.0000  0.0000
Ti  0.0000  0.5000  0.5000
Ti  0.2500  0.2418  0.2500
Ti  0.2500  0.7582  0.7500
Ti  0.5000  0.0000  0.5000
Ti  0.5000  0.5000  0.0000
Ti  0.7500  0.2418  0.2500
Ti  0.7500  0.7582  0.7500
In  0.0000  0.5000  0.0000
In  0.5000  0.5000  0.5000
Sn  0.0000  0.0000  0.5000
Sn  0.2500  0.2583  0.7500
Sn  0.2500  0.7417  0.2500
Sn  0.5000  0.0000  0.0000
Sn  0.7500  0.2583  0.7500
Sn  0.7500  0.7417  0.2500



[4]
For LiAc2ZnCd6, a DFT-relaxed cell (PBE, Alexandria) gives the calculated powder diffraction line list in this record (Cu Kα X-rays).

Principal peaks in the range 2θ from 10° to 90°, low angle first:
2θ = 24.74°, 3.598 Å, I = 18.5
2θ = 30.42°, 2.938 Å, I = 100.0
2θ = 35.24°, 2.547 Å, I = 44.4
2θ = 35.34°, 2.540 Å, I = 22.0
2θ = 43.56°, 2.078 Å, I = 8.6
2θ = 50.74°, 1.799 Å, I = 46.3
2θ = 60.23°, 1.537 Å, I = 13.9
2θ = 60.37°, 1.533 Å, I = 27.6
2θ = 63.31°, 1.469 Å, I = 15.6
2θ = 82.61°, 1.168 Å, I = 11.3
2θ = 85.15°, 1.139 Å, I = 6.8
2θ = 85.31°, 1.138 Å, I = 6.8

Cell and atoms:
a = 7.2031 Å, b = 7.1976 Å, c = 7.1899 Å
α = 60.09°, β = 60.01°, γ = 59.90°
Fractional coordinates of all 10 atoms:
Li  0.0000  0.0000  0.0000
Ac  0.2500  0.2500  0.2500
Ac  0.7500  0.7500  0.7500
Zn  0.5000  0.5000  0.5000
Cd  0.2434  0.2434  0.7566
Cd  0.2433  0.7567  0.2433
Cd  0.2434  0.7566  0.7566
Cd  0.7566  0.2434  0.2434
Cd  0.7567  0.2433  0.7567
Cd  0.7566  0.7566  0.2434



[5]
For Ba8NiH2, a DFT-relaxed cell (PBE, Alexandria) gives the calculated powder diffraction line list in this record (Cu Kα X-rays).

Principal peaks in the range 2θ from 10° to 90°, low angle first:
2θ = 22.42°, 3.965 Å, I = 16.5
2θ = 23.24°, 3.827 Å, I = 25.0
2θ = 24.05°, 3.700 Å, I = 49.7
2θ = 25.30°, 3.520 Å, I = 100.0
2θ = 25.67°, 3.471 Å, I = 68.8
2θ = 25.85°, 3.446 Å, I = 22.4
2θ = 26.57°, 3.354 Å, I = 30.8
2θ = 33.12°, 2.705 Å, I = 14.7
2θ = 38.85°, 2.318 Å, I = 16.8
2θ = 40.35°, 2.235 Å, I = 30.8
2θ = 42.84°, 2.111 Å, I = 16.1
2θ = 43.54°, 2.079 Å, I = 17.9

Cell and atoms:
a = 8.9520 Å, b = 8.9520 Å, c = 7.4041 Å
α = 91.62°, β = 91.62°, γ = 62.38°
Fractional coordinates of all 11 atoms:
Ba  0.1331  0.6798  0.7302
Ba  0.1591  0.1591  0.7791
Ba  0.3202  0.8669  0.2698
Ba  0.3395  0.3395  0.2285
Ba  0.6605  0.6605  0.7715
Ba  0.6798  0.1331  0.7302
Ba  0.8409  0.8409  0.2209
Ba  0.8669  0.3202  0.2698
Ni  0.0000  0.0000  0.5000
H  0.1750  0.1750  0.1405
H  0.8250  0.8250  0.8595



[6]
For Ba9S2Cl14, a DFT-relaxed cell (PBE, Alexandria) gives the calculated powder diffraction line list in this record (Cu Kα X-rays).

Principal peaks in the range 2θ from 10° to 90°, low angle first:
2θ = 13.18°, 6.718 Å, I = 11.3
2θ = 20.65°, 4.301 Å, I = 100.0
2θ = 21.00°, 4.231 Å, I = 35.2
2θ = 23.99°, 3.709 Å, I = 16.7
2θ = 30.69°, 2.913 Å, I = 10.6
2θ = 33.97°, 2.639 Å, I = 51.6
2θ = 34.40°, 2.607 Å, I = 56.6
2θ = 40.08°, 2.250 Å, I = 13.5
2θ = 40.27°, 2.239 Å, I = 28.1
2θ = 40.65°, 2.219 Å, I = 14.6
2θ = 49.12°, 1.855 Å, I = 14.3
2θ = 61.07°, 1.517 Å, I = 11.0

Cell and atoms:
a = 9.1430 Å, b = 9.1430 Å, c = 12.6922 Å
α = 90.00°, β = 90.00°, γ = 120.00°
Fractional coordinates of all 25 atoms:
Ba  0.0000  0.0000  0.0000
Ba  0.0488  0.3470  0.3397
Ba  0.2983  0.9512  0.3397
Ba  0.3333  0.6667  0.0243
Ba  0.3470  0.2983  0.6603
Ba  0.6530  0.7017  0.3397
Ba  0.6667  0.3333  0.9757
Ba  0.7017  0.0488  0.6603
Ba  0.9512  0.6530  0.6603
S  0.3333  0.6667  0.2570
S  0.6667  0.3333  0.7430
Cl  0.0000  0.0000  0.2539
Cl  0.0000  0.0000  0.7461
Cl  0.0333  0.6825  0.9092
Cl  0.0560  0.3749  0.5915
Cl  0.3175  0.3508  0.9092
Cl  0.3189  0.9440  0.5915
Cl  0.3508  0.0333  0.0908
Cl  0.3749  0.3189  0.4085
Cl  0.6251  0.6811  0.5915
Cl  0.6492  0.9667  0.9092
Cl  0.6811  0.0560  0.4085
Cl  0.6825  0.6492  0.0908
Cl  0.9440  0.6251  0.4085
Cl  0.9667  0.3175  0.0908